Structure and calculated powder X-ray diffraction pattern of CaLa2FeO6 (the PBE+U geometry in the Materials Project; Cu Kα, 1.54184 Å).
Peak positions follow from Bragg's law for the DFT cell and can differ from measured ones.

Atomic structure:
abc: 5.5990 5.6306 5.7790
angles: 117.37 91.12 117.10
Positions (direct):
Ca  0.0000  0.0000  0.0000
La  0.2547  0.4758  0.7303
La  0.7453  0.5242  0.2697
Fe  0.5000  0.0000  0.5000
O  0.1833  0.8938  0.6392
O  0.2781  0.5257  0.1514
O  0.3571  0.1366  0.3215
O  0.6429  0.8634  0.6785
O  0.7219  0.4743  0.8486
O  0.8167  0.1062  0.3608

Peak list (8 most intense, 2θ = 10–90°, most intense first)
2θ (°)	Rel. int.
29.64	1000
30.25	945
30.56	905
31.87	858
32.01	796
31.01	771
42.42	492
44.64	469


Structure and calculated powder X-ray diffraction pattern of BaMnO3 (the PBE+U geometry in the Materials Project; Cu Kα, 1.54184 Å).
Peak positions follow from Bragg's law for the DFT cell and can differ from measured ones.

Atomic structure:
abc: 5.7597 5.7597 14.3134
angles: 90.00 90.00 120.00
Positions (direct):
Ba  0.0000  0.0000  0.0000
Ba  0.0000  0.0000  0.3317
Ba  0.0000  0.0000  0.6683
Ba  0.3333  0.6667  0.1645
Ba  0.3333  0.6667  0.8355
Ba  0.6667  0.3333  0.5000
Mn  0.3333  0.6667  0.4092
Mn  0.3333  0.6667  0.5908
Mn  0.6667  0.3333  0.0876
Mn  0.6667  0.3333  0.2649
Mn  0.6667  0.3333  0.7351
Mn  0.6667  0.3333  0.9124
O  0.0015  0.5007  0.3349
O  0.0015  0.5007  0.6651
O  0.1883  0.3766  0.5000
O  0.1883  0.8117  0.5000
O  0.3714  0.1857  0.1735
O  0.3714  0.1857  0.8265
O  0.4993  0.5007  0.3349
O  0.4993  0.5007  0.6651
O  0.4993  0.9985  0.3349
O  0.4993  0.9985  0.6651
O  0.5176  0.0353  0.0000
O  0.5176  0.4824  0.0000
O  0.6234  0.8117  0.5000
O  0.8143  0.1857  0.1735
O  0.8143  0.1857  0.8265
O  0.8143  0.6286  0.1735
O  0.8143  0.6286  0.8265
O  0.9647  0.4824  0.0000

Peak list (8 most intense, 2θ = 10–90°, most intense first)
2θ (°)	Rel. int.
31.05	1000
25.84	827
40.83	558
52.17	203
64.74	191
36.18	188
30.75	187
55.25	187